Diffraction record for Ce2FeCo12P3. The XRD peak list is theoretical, not measured: it uses a GGA-PBE-relaxed structure and Cu Kα X-rays.

Atomic structure:
Unit cell a=8.1126 b=8.1126 c=12.0987 alpha=90.00 beta=90.00 gamma=120.00
Space group R-3m (No. 166, hexagonal axes)
One atom of each set of equivalent atoms:
Ce1 0.0000 0.0000 0.1292 (multiplicity 6)
Fe1 0.0000 0.0000 0.5000 (multiplicity 3)
Co1 0.0084 0.5042 0.8194 (multiplicity 18)
Co2 0.0244 0.5122 0.3811 (multiplicity 18)
P1 0.0000 0.5000 0.0000 (multiplicity 9)

The 10 most intense peaks (10 to 80 degrees two-theta), low angle first:
index  two_theta  I/Imax
1 0 1  14.58  17
0 0 3  22.04  14
1 1 3  31.28  25
0 2 4  39.34  53
2 2 0  44.69  100
2 0 5  45.51  15
2 2 3  50.36  10
1 2 5  51.07  17
4 0 4  61.03  18
2 3 5  70.16  9



Diffraction record for NaInGa. The XRD peak list is theoretical, not measured: it uses a GGA-PBE-relaxed structure and Cu Kα X-rays.

Atomic structure:
Unit cell a=5.0186 b=5.0186 c=3.2462 alpha=90.00 beta=90.00 gamma=120.00
Space group P-6m2 (No. 187)
One atom of each set of equivalent atoms:
Na1 0.0000 0.0000 0.0000 (multiplicity 1)
In1 0.6667 0.3333 0.5000 (multiplicity 1)
Ga1 0.3333 0.6667 0.5000 (multiplicity 1)

The 10 most intense peaks (10 to 80 degrees two-theta), low angle first:
index  two_theta  I/Imax
1 0 0  20.43  57
0 0 1  27.48  40
1 0 1  34.48  76
1 1 0  35.78  100
1 1 1  45.70  59
2 0 1  50.54  25
2 1 1  63.47  24
3 0 0  64.30  17
1 1 2  68.90  27
3 0 1  71.28  15



Diffraction record for HoV2Ga7. The XRD peak list is theoretical, not measured: it uses a GGA-PBE-relaxed structure and Cu Kα X-rays.

Atomic structure:
Unit cell a=7.301 b=14.625 c=4.030 alpha=90.00 beta=90.00 gamma=90.00
Space group Cmmm (No. 65)
One atom of each set of equivalent atoms:
Ho1 0.000 0.000 0.000 (multiplicity 2)
V1 0.000 0.322 0.500 (multiplicity 4)
Ga1 0.000 0.217 0.000 (multiplicity 4)
Ga2 0.000 0.500 0.500 (multiplicity 2)
Ga3 0.175 0.131 0.500 (multiplicity 8)

The 10 most intense peaks (10 to 80 degrees two-theta), low angle first:
index  two_theta  I/Imax
1 1 0  13.56  71
2 0 0  24.38  34
1 1 1  25.98  57
0 4 1  33.08  82
2 0 1  33.11  30
2 4 0  34.73  65
1 5 1  40.04  100
3 1 1  43.90  74
0 0 2  44.99  40
2 4 2  58.06  29



Diffraction record for NaIn2IrO8. The XRD peak list is theoretical, not measured: it uses a GGA-PBE-relaxed structure and Cu Kα X-rays.

Atomic structure:
Unit cell a=4.268 b=6.748 c=5.176 alpha=90.00 beta=90.98 gamma=90.00
Space group P2/m (No. 10)
One atom of each set of equivalent atoms:
Na1 0.000 0.000 0.000 (multiplicity 1)
In1 0.500 0.262 0.500 (multiplicity 2)
Ir1 0.000 0.500 0.000 (multiplicity 1)
O1 0.159 0.000 0.567 (multiplicity 2)
O2 0.230 0.500 0.676 (multiplicity 2)
O3 0.257 0.292 0.135 (multiplicity 4)

The 10 most intense peaks (10 to 80 degrees two-theta), low angle first:
index  two_theta  I/Imax
0 1 0  13.12  86
0 1 1  21.64  43
1 0 -1  26.85  78
1 0 1  27.31  69
0 2 1  31.66  70
1 2 0  33.87  100
0 0 2  34.67  41
1 2 -2  48.96  32
1 2 2  49.52  33
2 2 1  54.09  32



Diffraction record for CePaO4. The XRD peak list is theoretical, not measured: it uses a GGA-PBE-relaxed structure and Cu Kα X-rays.

Atomic structure:
Unit cell a=5.496 b=5.496 c=10.913 alpha=90.00 beta=90.00 gamma=90.00
Space group I4_1/amd (No. 141, origin choice 2)
One atom of each set of equivalent atoms:
Ce1 0.000 0.250 0.375 (multiplicity 4)
Pa1 0.000 0.250 0.875 (multiplicity 4)
O1 0.236 0.000 0.000 (multiplicity 16)

The 10 most intense peaks (10 to 80 degrees two-theta), low angle first:
index  two_theta  I/Imax
1 0 1  18.07  8
1 1 2  28.19  100
2 0 0  32.59  23
0 0 4  32.83  11
2 2 0  46.75  17
2 0 4  46.93  34
3 1 2  55.49  31
1 1 6  55.81  15
2 2 4  58.30  10
3 1 6  75.69  13



Diffraction record for AcDyAg4. The XRD peak list is theoretical, not measured: it uses a GGA-PBE-relaxed structure and Cu Kα X-rays.

Atomic structure:
Unit cell a=4.820 b=8.345 c=7.420 alpha=90.00 beta=90.09 gamma=90.00
Space group C2/m (No. 12)
One atom of each set of equivalent atoms:
Ac1 0.000 0.000 0.000 (multiplicity 2)
Dy1 0.000 0.000 0.500 (multiplicity 2)
Ag1 0.000 0.333 0.288 (multiplicity 8)

The 10 most intense peaks (10 to 80 degrees two-theta), low angle first:
index  two_theta  I/Imax
0 2 0  21.29  10
1 1 1  24.47  8
1 1 2  32.29  100
2 0 0  37.32  69
0 4 2  50.16  29
2 0 3  53.06  9
2 0 -4  63.26  15
3 1 -2  64.16  27
3 3 0  67.31  12
4 0 0  79.57  7